# Ca7RhN6
Calculated X-ray powder pattern, Cu Kα (λ = 1.5418 Å). Input: a crystal structure in the Materials Project, relaxed with PBE.
No peak broadening, texture or thermal motion is included.

Structural model:
abc: 6.3464 11.7647 12.3097
angles: 90.00 90.00 90.00
Space group Ibam (No. 72)
Symmetry-distinct sites (fractional):
Ca: 0.0000 0.0000 0.2500 x4
Ca: 0.1309 0.2816 0.1306 x16
Ca: 0.2225 0.0479 0.0000 x8
Rh: 0.0000 0.5000 0.2500 x4
N: 0.1097 0.1486 0.5000 x8
N: 0.1963 0.3825 0.3097 x16

Main lines, in order of rising 2θ (10° ≤ 2θ ≤ 80°):
| Position (°2θ) | Rel. int. | h k l |
| --- | --- | --- |
| 14.39 | 22 | 0 0 2 |
| 15.87 | 23 | 1 1 0 |
| 21.48 | 48 | 1 1 2 |
| 30.40 | 25 | 0 4 0 |
| 31.73 | 30 | 2 0 2 |
| 32.85 | 100 | 0 2 4 |
| 34.39 | 30 | 1 4 1 |
| 35.29 | 56 | 2 2 2 |
| 44.51 | 27 | 2 4 2 |
| 55.58 | 21 | 2 2 6 |

---

# Mo2N3Cl9
Calculated X-ray powder pattern, Cu Kα (λ = 1.5418 Å). Input: a crystal structure in the Materials Project, relaxed with PBE.
No peak broadening, texture or thermal motion is included.

Structural model:
abc: 7.2571 7.2571 17.1285
angles: 90.00 90.00 120.00
Space group P6_3/mmc (No. 194)
Symmetry-distinct sites (fractional):
Mo: 0.3333 0.6667 0.1689 x4
N: 0.0000 0.0000 0.2500 x2
N: 0.3333 0.6667 0.5706 x4
Cl: 0.0073 0.5036 0.2500 x6
Cl: 0.1801 0.3603 0.0966 x12

Main lines, in order of rising 2θ (10° ≤ 2θ ≤ 80°):
| Position (°2θ) | Rel. int. | h k l |
| --- | --- | --- |
| 10.33 | 20 | 0 0 2 |
| 14.09 | 24 | 1 0 0 |
| 15.02 | 100 | 1 0 1 |
| 29.70 | 12 | 1 0 5 |
| 32.52 | 18 | 2 0 3 |
| 35.43 | 20 | 2 0 4 |
| 38.25 | 13 | 2 1 1 |
| 40.19 | 15 | 1 1 6 |
| 47.07 | 14 | 2 0 7 |
| 50.29 | 16 | 2 2 0 |

---

# CsCu2F5
Calculated X-ray powder pattern, Cu Kα (λ = 1.5418 Å). Input: a crystal structure in the Materials Project, relaxed with PBE.
No peak broadening, texture or thermal motion is included.

Structural model:
abc: 7.2254 7.4681 11.5092
angles: 90.00 122.94 90.00
Space group P2_1/c (No. 14)
Symmetry-distinct sites (fractional):
Cs: 0.1231 0.0200 0.3786 x4
Cu: 0.0000 0.0000 0.0000 x2
Cu: 0.4958 0.2355 0.7582 x4
Cu: 0.5000 0.0000 0.0000 x2
F: 0.1899 0.0199 0.9288 x4
F: 0.1907 0.2100 0.1453 x4
F: 0.1981 0.6788 0.6455 x4
F: 0.4247 0.5171 0.2423 x4
F: 0.4877 0.7464 0.5287 x4

Main lines, in order of rising 2θ (10° ≤ 2θ ≤ 80°):
| Position (°2θ) | Rel. int. | h k l |
| --- | --- | --- |
| 24.28 | 58 | 1 1 1 |
| 26.12 | 56 | 1 1 -3 |
| 28.06 | 80 | 1 2 0 |
| 28.26 | 76 | 2 1 -1 |
| 28.88 | 67 | 1 2 -2 |
| 29.87 | 61 | 2 1 -3 |
| 30.24 | 100 | 0 1 3 |
| 31.56 | 76 | 1 0 -4 |
| 48.74 | 48 | 0 4 0 |
| 49.74 | 43 | 2 2 2 |

---

# AsSClOF8
Calculated X-ray powder pattern, Cu Kα (λ = 1.5418 Å). Input: a crystal structure in the Materials Project, relaxed with PBE.
No peak broadening, texture or thermal motion is included.

Structural model:
abc: 8.4920 9.0905 12.3465
angles: 90.00 127.31 90.00
Space group P2_1/c (No. 14)
Symmetry-distinct sites (fractional):
As: 0.1948 0.1864 0.4406 x4
S: 0.3707 0.6784 0.6223 x4
Cl: 0.1481 0.7042 0.4361 x4
O: 0.4808 0.6969 0.1965 x4
F: 0.0611 0.6494 0.1490 x4
F: 0.1375 0.2133 0.7951 x4
F: 0.1639 0.1482 0.0033 x4
F: 0.2228 0.0257 0.3738 x4
F: 0.2533 0.0892 0.5843 x4
F: 0.2942 0.5919 0.6884 x4
F: 0.4485 0.2319 0.5270 x4
F: 0.4952 0.5558 0.6225 x4

Main lines, in order of rising 2θ (10° ≤ 2θ ≤ 80°):
| Position (°2θ) | Rel. int. | h k l |
| --- | --- | --- |
| 16.35 | 23 | 1 1 0 |
| 17.50 | 15 | 1 1 -2 |
| 18.07 | 31 | 0 0 2 |
| 19.53 | 55 | 0 2 0 |
| 20.56 | 58 | 0 1 2 |
| 21.03 | 95 | 2 0 -2 |
| 22.22 | 100 | 1 2 -1 |
| 23.96 | 13 | 1 1 -3 |
| 28.20 | 17 | 2 1 0 |
| 28.86 | 30 | 2 2 -2 |

---

# PrB2Pt2C
Calculated X-ray powder pattern, Cu Kα (λ = 1.5418 Å). Input: a crystal structure in the Materials Project, relaxed with PBE.
No peak broadening, texture or thermal motion is included.

Structural model:
abc: 3.8743 3.8743 10.8069
angles: 90.00 90.00 90.00
Space group I4/mmm (No. 139)
Symmetry-distinct sites (fractional):
Pr: 0.0000 0.0000 0.0000 x2
B: 0.0000 0.0000 0.3627 x4
Pt: 0.0000 0.5000 0.2500 x4
C: 0.0000 0.0000 0.5000 x2

Main lines, in order of rising 2θ (10° ≤ 2θ ≤ 80°):
| Position (°2θ) | Rel. int. | h k l |
| --- | --- | --- |
| 16.40 | 33 | 0 0 2 |
| 24.41 | 14 | 1 0 1 |
| 32.69 | 11 | 1 1 0 |
| 33.16 | 31 | 0 0 4 |
| 36.78 | 100 | 1 1 2 |
| 46.90 | 27 | 2 0 0 |
| 47.25 | 11 | 1 1 4 |
| 58.64 | 25 | 2 0 4 |
| 61.63 | 23 | 1 1 6 |
| 78.25 | 11 | 2 2 4 |

---

Copy entry 2 word for word.
# Mo2N3Cl9
Calculated X-ray powder pattern, Cu Kα (λ = 1.5418 Å). Input: a crystal structure in the Materials Project, relaxed with PBE.
No peak broadening, texture or thermal motion is included.

Structural model:
abc: 7.2571 7.2571 17.1285
angles: 90.00 90.00 120.00
Space group P6_3/mmc (No. 194)
Symmetry-distinct sites (fractional):
Mo: 0.3333 0.6667 0.1689 x4
N: 0.0000 0.0000 0.2500 x2
N: 0.3333 0.6667 0.5706 x4
Cl: 0.0073 0.5036 0.2500 x6
Cl: 0.1801 0.3603 0.0966 x12

Main lines, in order of rising 2θ (10° ≤ 2θ ≤ 80°):
| Position (°2θ) | Rel. int. | h k l |
| --- | --- | --- |
| 10.33 | 20 | 0 0 2 |
| 14.09 | 24 | 1 0 0 |
| 15.02 | 100 | 1 0 1 |
| 29.70 | 12 | 1 0 5 |
| 32.52 | 18 | 2 0 3 |
| 35.43 | 20 | 2 0 4 |
| 38.25 | 13 | 2 1 1 |
| 40.19 | 15 | 1 1 6 |
| 47.07 | 14 | 2 0 7 |
| 50.29 | 16 | 2 2 0 |

---

Copy entry 4 word for word.
# AsSClOF8
Calculated X-ray powder pattern, Cu Kα (λ = 1.5418 Å). Input: a crystal structure in the Materials Project, relaxed with PBE.
No peak broadening, texture or thermal motion is included.

Structural model:
abc: 8.4920 9.0905 12.3465
angles: 90.00 127.31 90.00
Space group P2_1/c (No. 14)
Symmetry-distinct sites (fractional):
As: 0.1948 0.1864 0.4406 x4
S: 0.3707 0.6784 0.6223 x4
Cl: 0.1481 0.7042 0.4361 x4
O: 0.4808 0.6969 0.1965 x4
F: 0.0611 0.6494 0.1490 x4
F: 0.1375 0.2133 0.7951 x4
F: 0.1639 0.1482 0.0033 x4
F: 0.2228 0.0257 0.3738 x4
F: 0.2533 0.0892 0.5843 x4
F: 0.2942 0.5919 0.6884 x4
F: 0.4485 0.2319 0.5270 x4
F: 0.4952 0.5558 0.6225 x4

Main lines, in order of rising 2θ (10° ≤ 2θ ≤ 80°):
| Position (°2θ) | Rel. int. | h k l |
| --- | --- | --- |
| 16.35 | 23 | 1 1 0 |
| 17.50 | 15 | 1 1 -2 |
| 18.07 | 31 | 0 0 2 |
| 19.53 | 55 | 0 2 0 |
| 20.56 | 58 | 0 1 2 |
| 21.03 | 95 | 2 0 -2 |
| 22.22 | 100 | 1 2 -1 |
| 23.96 | 13 | 1 1 -3 |
| 28.20 | 17 | 2 1 0 |
| 28.86 | 30 | 2 2 -2 |